This entry pairs a crystal structure of LiCr3O8 with its computed X-ray diffraction stick pattern. Radiation: copper Kα. Structure: the GGA+U geometry in Alexandria.
Neutral-atom scattering factors, no anomalous dispersion.

Top 12 peaks for 2θ from 10° to 90°, low angle first:
- hkl 1 1 0, 17.33 deg, rel. 44
- hkl 1 1 1, 23.69 deg, rel. 100
- hkl 1 2 0, 25.30 deg, rel. 62
- hkl 1 2 1, 30.09 deg, rel. 14
- hkl 0 0 2, 32.37 deg, rel. 27
- hkl 2 1 1, 33.89 deg, rel. 53
- hkl 0 3 1, 35.95 deg, rel. 31
- hkl 0 2 2, 38.99 deg, rel. 11
- hkl 2 2 2, 48.47 deg, rel. 14
- hkl 2 4 0, 51.96 deg, rel. 11
- hkl 2 1 3, 58.69 deg, rel. 14
- hkl 2 4 2, 62.56 deg, rel. 25

```
LiCr3O8
1.0
6.453 0.000 0.000
0.000 8.399 0.000
0.000 0.000 5.532
Li Cr O
2 6 16
Direct
0.000 0.000 0.000
0.500 0.500 0.500
0.000 0.500 0.500
0.231 0.351 0.000
0.269 0.851 0.500
0.500 0.000 0.000
0.731 0.149 0.500
0.769 0.649 0.000
0.029 0.240 0.000
0.059 0.735 0.500
0.226 0.467 0.253
0.226 0.467 0.747
0.274 0.967 0.247
0.274 0.967 0.753
0.441 0.235 0.000
0.471 0.740 0.500
0.529 0.260 0.500
0.559 0.765 0.000
0.726 0.033 0.247
0.726 0.033 0.753
0.774 0.533 0.253
0.774 0.533 0.747
0.941 0.265 0.500
0.971 0.760 0.000
```